Structure and computed powder diffraction line list of LaNd2Y6Tm3 (a crystal structure in Alexandria, relaxed with PBE; Cu Kα).
Neutral-atom scattering factors, no anomalous dispersion.

Crystal structure
Cell lengths 6.2169, 6.2169, 11.8507 Å; angles 95.01, 95.01, 119.98 degrees
Fractional positions:
La: 0.0000 0.0000 0.0000
Nd: 0.3334 0.6666 0.0000
Nd: 0.6666 0.3334 0.0000
Y: 0.0859 0.4198 0.2556
Y: 0.2481 0.2481 0.7443
Y: 0.4198 0.0859 0.2556
Y: 0.5802 0.9141 0.7444
Y: 0.7519 0.7519 0.2557
Y: 0.9141 0.5802 0.7444
Tm: 0.1668 0.8332 0.5000
Tm: 0.5000 0.5000 0.5000
Tm: 0.8332 0.1668 0.5000

Most intense lines, 2θ from 10° to 80°, sorted by position:
2theta  I/Imax
15.2  11
30.5  100
30.6  33
35.4  67
50.9  24
51.0  23
60.5  32
60.6  9
60.7  14
63.5  12

=====

Structure and computed powder diffraction line list of LaBeHg2 (a crystal structure in Alexandria, relaxed with PBE; Cu Kα).
Neutral-atom scattering factors, no anomalous dispersion.

Crystal structure
Cell lengths 4.4011, 4.4011, 6.1954 Å; angles 110.94, 110.94, 60.02 degrees
Fractional positions:
La: 0.0000 0.0000 0.0000
Be: 0.5000 0.5000 0.5000
Hg: 0.2165 0.2165 0.6493
Hg: 0.7835 0.7835 0.3507

Most intense lines, 2θ from 10° to 80°, sorted by position:
2theta  I/Imax
23.9  54
25.6  48
31.6  99
35.5  100
41.0  87
44.4  17
48.4  16
55.3  28
65.2  26
71.1  18

=====

Structure and computed powder diffraction line list of TmSc2Ni (a crystal structure in Alexandria, relaxed with PBE; Cu Kα).
Neutral-atom scattering factors, no anomalous dispersion.

Crystal structure
Cell lengths 6.4574, 9.1248, 5.9690 Å; angles 90.00, 90.00, 90.00 degrees
Fractional positions:
Tm: 0.0234 0.2500 0.1273
Tm: 0.4766 0.7500 0.6273
Tm: 0.5234 0.2500 0.3727
Tm: 0.9766 0.7500 0.8727
Sc: 0.1763 0.0622 0.6812
Sc: 0.1763 0.4378 0.6812
Sc: 0.3237 0.5622 0.1812
Sc: 0.3237 0.9378 0.1812
Sc: 0.6763 0.0622 0.8188
Sc: 0.6763 0.4378 0.8188
Sc: 0.8237 0.5622 0.3188
Sc: 0.8237 0.9378 0.3188
Ni: 0.1032 0.7500 0.4347
Ni: 0.3968 0.2500 0.9347
Ni: 0.6032 0.7500 0.0653
Ni: 0.8968 0.2500 0.5653

Most intense lines, 2θ from 10° to 80°, sorted by position:
2theta  I/Imax
17.8  20
19.5  63
28.2  23
33.0  78
34.0  53
34.5  100
35.9  20
39.5  20
44.8  51
61.2  44

=====

Structure and computed powder diffraction line list of Na4Dy2Ir3O12 (a crystal structure in Alexandria, relaxed with PBE; Cu Kα).
Neutral-atom scattering factors, no anomalous dispersion.

Crystal structure
Cell lengths 9.4770, 9.4770, 3.2001 Å; angles 90.00, 90.00, 120.00 degrees
Fractional positions:
Na: 0.0000 0.0000 0.0000
Na: 0.0000 0.6985 0.5000
Na: 0.3015 0.3015 0.5000
Na: 0.6985 0.0000 0.5000
Dy: 0.3333 0.6667 0.5000
Dy: 0.6667 0.3333 0.5000
Ir: 0.0000 0.3316 0.0000
Ir: 0.3316 0.0000 0.0000
Ir: 0.6684 0.6684 0.0000
O: 0.0000 0.1984 0.5000
O: 0.0000 0.4585 0.5000
O: 0.1984 0.0000 0.5000
O: 0.2180 0.7568 0.0000
O: 0.2432 0.4611 0.0000
O: 0.4585 0.0000 0.5000
O: 0.4611 0.2432 0.0000
O: 0.5389 0.7820 0.0000
O: 0.5415 0.5415 0.5000
O: 0.7568 0.2180 0.0000
O: 0.7820 0.5389 0.0000
O: 0.8016 0.8016 0.5000

Most intense lines, 2θ from 10° to 80°, sorted by position:
2theta  I/Imax
10.8  26
18.7  88
32.7  87
33.8  100
40.5  18
47.8  50
58.4  20
59.1  50
67.9  22
78.7  19

=====

Structure and computed powder diffraction line list of Ce2BeSi3Ir4 (a crystal structure in Alexandria, relaxed with PBE; Cu Kα).
Neutral-atom scattering factors, no anomalous dispersion.

Crystal structure
Cell lengths 4.1195, 4.1195, 9.9107 Å; angles 90.00, 90.00, 90.00 degrees
Fractional positions:
Ce: 0.0000 0.5000 0.2393
Ce: 0.5000 0.0000 0.7607
Be: 0.5000 0.5000 0.0000
Si: 0.0000 0.0000 0.0000
Si: 0.0000 0.5000 0.6311
Si: 0.5000 0.0000 0.3689
Ir: 0.0000 0.0000 0.5000
Ir: 0.0000 0.5000 0.8735
Ir: 0.5000 0.0000 0.1265
Ir: 0.5000 0.5000 0.5000

Most intense lines, 2θ from 10° to 80°, sorted by position:
2theta  I/Imax
27.0  41
28.2  30
32.0  94
34.8  71
35.8  100
44.0  73
48.2  30
51.1  26
52.3  28
57.3  34

=====

Structure and computed powder diffraction line list of Tb5CeEr2Th (a crystal structure in Alexandria, relaxed with PBE; Cu Kα).
Neutral-atom scattering factors, no anomalous dispersion.

Crystal structure
Cell lengths 10.9933, 10.9933, 9.7325 Å; angles 90.00, 90.00, 149.96 degrees
Fractional positions:
Tb: 0.0143 0.9857 0.5000
Tb: 0.2713 0.7287 0.8065
Tb: 0.3021 0.6979 0.1888
Tb: 0.3957 0.6043 0.5220
Tb: 0.4689 0.5311 0.2227
Tb: 0.5311 0.4689 0.7227
Tb: 0.6043 0.3957 0.0220
Tb: 0.6979 0.3021 0.6888
Tb: 0.7287 0.2713 0.3065
Tb: 0.9857 0.0143 0.0000
Ce: 0.1905 0.8095 0.5048
Ce: 0.8095 0.1905 0.0048
Er: 0.1157 0.8843 0.8118
Er: 0.1273 0.8727 0.1995
Er: 0.8727 0.1273 0.6995
Er: 0.8843 0.1157 0.3118
Th: 0.4071 0.5929 0.9050
Th: 0.5929 0.4071 0.4050

Most intense lines, 2θ from 10° to 80°, sorted by position:
2theta  I/Imax
26.8  14
31.4  37
32.1  100
33.5  11
34.2  11
34.7  16
41.7  9
53.7  8
56.3  20
63.6  10

=====

Please write out number 3 again, unchanged.
Structure and computed powder diffraction line list of TmSc2Ni (a crystal structure in Alexandria, relaxed with PBE; Cu Kα).
Neutral-atom scattering factors, no anomalous dispersion.

Crystal structure
Cell lengths 6.4574, 9.1248, 5.9690 Å; angles 90.00, 90.00, 90.00 degrees
Fractional positions:
Tm: 0.0234 0.2500 0.1273
Tm: 0.4766 0.7500 0.6273
Tm: 0.5234 0.2500 0.3727
Tm: 0.9766 0.7500 0.8727
Sc: 0.1763 0.0622 0.6812
Sc: 0.1763 0.4378 0.6812
Sc: 0.3237 0.5622 0.1812
Sc: 0.3237 0.9378 0.1812
Sc: 0.6763 0.0622 0.8188
Sc: 0.6763 0.4378 0.8188
Sc: 0.8237 0.5622 0.3188
Sc: 0.8237 0.9378 0.3188
Ni: 0.1032 0.7500 0.4347
Ni: 0.3968 0.2500 0.9347
Ni: 0.6032 0.7500 0.0653
Ni: 0.8968 0.2500 0.5653

Most intense lines, 2θ from 10° to 80°, sorted by position:
2theta  I/Imax
17.8  20
19.5  63
28.2  23
33.0  78
34.0  53
34.5  100
35.9  20
39.5  20
44.8  51
61.2  44